Structure and calculated powder diffraction line list of In3Hg2Pb4 (a PBE-relaxed structure; Cu Kα (weighted mean of Kα1 and Kα2)).

Cell and atoms:
Lattice parameters (Å, degrees): 12.1549 14.8047 6.3129 90.00 111.86 90.00
Space group C2/c (No. 15)
One atom of each set of equivalent atoms:
In 0.0000 0.0076 0.2500
In 0.1294 0.4664 0.9767
Hg 0.2014 0.1182 0.5758
Pb 0.0725 0.3104 0.5385
Pb 0.1507 0.1697 0.0365

The 6 most intense peaks (2θ = 10–80°), sorted by position:
hkl	d/Å	I (rel.)
2 4 -1	3.001	91
3 3 0	2.991	100
0 0 2	2.930	64
4 0 -2	2.566	53
2 4 1	2.531	54
3 3 -2	2.494	49

=====

Structure and calculated powder diffraction line list of InHg6Pb4 (a PBE-relaxed structure; Cu Kα (weighted mean of Kα1 and Kα2)).

Cell and atoms:
Lattice parameters (Å, degrees): 5.9391 5.9758 17.9419 90.00 90.00 90.00
Space group I222 (No. 23)
One atom of each set of equivalent atoms:
In 0.0000 0.0000 0.0000
Hg 0.0000 0.5000 0.0000
Hg 0.0000 0.5000 0.5000
Hg 0.1975 0.1877 0.3781
Pb 0.2134 0.1967 0.1938

The 6 most intense peaks (2θ = 10–80°), sorted by position:
hkl	d/Å	I (rel.)
1 1 4	3.072	100
0 2 2	2.835	36
2 0 2	2.819	41
1 2 1	2.640	45
1 1 6	2.438	95
2 2 0	2.106	40

=====

Structure and calculated powder diffraction line list of In7Hg3Pb2 (a PBE-relaxed structure; Cu Kα (weighted mean of Kα1 and Kα2)).

Cell and atoms:
Lattice parameters (Å, degrees): 5.8050 3.3932 16.8449 90.00 94.33 90.00
Space group P2/m (No. 10)
One atom of each set of equivalent atoms:
In 0.0000 0.0000 0.0000
In 0.1416 0.5000 0.8400
In 0.2564 0.5000 0.5338
In 0.3553 0.0000 0.1618
Hg 0.2781 0.0000 0.6890
Hg 0.5000 0.5000 0.0000
Pb 0.2238 0.5000 0.3394

The 6 most intense peaks (2θ = 10–80°), sorted by position:
hkl	d/Å	I (rel.)
0 0 3	5.600	17
2 0 1	2.816	18
0 0 6	2.798	100
2 0 2	2.675	21
1 1 4	2.359	59
3 1 -1	1.679	18

=====

Structure and calculated powder diffraction line list of In3Hg6Pb (a PBE-relaxed structure; Cu Kα (weighted mean of Kα1 and Kα2)).

Cell and atoms:
Lattice parameters (Å, degrees): 4.0150 4.0150 20.8684 90.00 90.00 120.00
Space group P-3m1 (No. 164)
One atom of each set of equivalent atoms:
In 0.0000 0.0000 0.0000
In 0.0000 0.0000 0.2963
Hg 0.3333 0.6667 0.0986
Hg 0.3333 0.6667 0.3941
Hg 0.3333 0.6667 0.8022
Pb 0.0000 0.0000 0.5000

The 6 most intense peaks (2θ = 10–80°), sorted by position:
hkl	d/Å	I (rel.)
0 1 3	3.110	100
0 1 4	2.893	70
1 0 6	2.459	28
1 0 7	2.263	51
1 1 0	2.008	60
1 1 10	1.447	41

=====

Structure and calculated powder diffraction line list of In3Hg5Pb4 (a PBE-relaxed structure; Cu Kα (weighted mean of Kα1 and Kα2)).

Cell and atoms:
Lattice parameters (Å, degrees): 11.7275 5.8204 10.8907 90.00 108.20 90.00
Space group C2/m (No. 12)
One atom of each set of equivalent atoms:
In 0.0000 0.0000 0.0000
In 0.1351 0.5000 0.7867
Hg 0.0000 0.5000 0.0000
Hg 0.1331 0.0000 0.2893
Hg 0.2253 0.0000 0.9203
Pb 0.1192 0.5000 0.4425
Pb 0.1240 0.0000 0.6213

The 6 most intense peaks (2θ = 10–80°), sorted by position:
hkl	d/Å	I (rel.)
3 1 -2	3.059	24
4 0 -1	2.929	29
0 2 0	2.910	66
1 1 3	2.694	100
4 2 -1	2.064	23
1 3 3	1.635	23

=====

Structure and calculated powder diffraction line list of In3HgPb3 (a PBE-relaxed structure; Cu Kα (weighted mean of Kα1 and Kα2)).

Cell and atoms:
Lattice parameters (Å, degrees): 6.4930 11.6714 11.0468 90.00 93.59 90.00
Space group C2/m (No. 12)
One atom of each set of equivalent atoms:
In 0.1784 0.0000 0.2707
In 0.2467 0.2692 0.2288
Hg 0.0810 0.5000 0.1265
Pb 0.0000 0.1406 0.0000
Pb 0.0000 0.2426 0.5000
Pb 0.2271 0.5000 0.4234

The 6 most intense peaks (2θ = 10–80°), sorted by position:
hkl	d/Å	I (rel.)
1 1 3	3.009	99
0 4 0	2.918	67
0 4 1	2.818	64
2 2 -1	2.781	100
1 1 -4	2.534	66
0 2 4	2.492	59

=====

Structure and calculated powder diffraction line list of In2Hg3Pb4 (a PBE-relaxed structure; Cu Kα (weighted mean of Kα1 and Kα2)).

Cell and atoms:
Lattice parameters (Å, degrees): 3.5351 3.5351 24.0635 90.00 90.00 120.00
Space group P3m1 (No. 156)
One atom of each set of equivalent atoms:
In 0.0000 0.0000 0.0000
In 0.0000 0.0000 0.1967
Hg 0.0000 0.0000 0.7761
Hg 0.3333 0.6667 0.0992
Hg 0.3333 0.6667 0.4376
Pb 0.0000 0.0000 0.3275
Pb 0.0000 0.0000 0.5478
Pb 0.3333 0.6667 0.6666
Pb 0.3333 0.6667 0.8861

The 6 most intense peaks (2θ = 10–80°), sorted by position:
hkl	d/Å	I (rel.)
1 0 0	3.061	53
0 1 4	2.728	92
0 0 9	2.674	43
1 0 5	2.583	100
1 1 0	1.768	44
1 1 9	1.474	43

=====

Structure and calculated powder diffraction line list of In5Hg3Pb4 (a PBE-relaxed structure; Cu Kα (weighted mean of Kα1 and Kα2)).

Cell and atoms:
Lattice parameters (Å, degrees): 6.0932 6.8332 8.9753 103.39 107.02 97.99
Space group P-1 (No. 2)
One atom of each set of equivalent atoms:
In 0.0000 0.0000 0.0000
In 0.0016 0.6478 0.6784
In 0.4909 0.2604 0.9946
Hg 0.0000 0.5000 0.0000
Hg 0.4794 0.8965 0.6997
Pb 0.0551 0.8602 0.3403
Pb 0.4704 0.3741 0.6432

The 6 most intense peaks (2θ = 10–80°), sorted by position:
hkl	d/Å	I (rel.)
-1 2 1	2.840	100
0 0 3	2.740	43
1 2 -2	2.697	36
1 -2 2	2.609	42
2 0 -3	2.422	28
1 2 1	2.229	21

=====

Structure and calculated powder diffraction line list of In3Hg2Pb7 (a PBE-relaxed structure; Cu Kα (weighted mean of Kα1 and Kα2)).

Cell and atoms:
Lattice parameters (Å, degrees): 6.4151 3.4182 16.4453 90.00 90.47 90.00
Space group P2/m (No. 10)
One atom of each set of equivalent atoms:
In 0.0000 0.0000 0.0000
In 0.4782 0.5000 0.3414
Hg 0.0134 0.0000 0.3293
Pb 0.1760 0.5000 0.1662
Pb 0.2505 0.0000 0.5094
Pb 0.3209 0.0000 0.8266
Pb 0.5000 0.5000 0.0000

The 6 most intense peaks (2θ = 10–80°), sorted by position:
hkl	d/Å	I (rel.)
1 1 -1	2.968	51
2 0 -3	2.778	73
2 0 3	2.759	80
0 0 6	2.741	100
1 1 -3	2.647	65
1 1 3	2.639	72

=====

Structure and calculated powder diffraction line list of In4Hg3Pb3 (a PBE-relaxed structure; Cu Kα (weighted mean of Kα1 and Kα2)).

Cell and atoms:
Lattice parameters (Å, degrees): 3.6152 12.4208 12.6585 90.00 90.00 90.00
Space group Amm2 (No. 38)
One atom of each set of equivalent atoms:
In 0.0000 0.0000 0.0000
In 0.0000 0.0000 0.2582
In 0.0000 0.1394 0.5987
Hg 0.5000 0.0000 0.4501
Hg 0.5000 0.1661 0.1293
Pb 0.0000 0.2380 0.8605
Pb 0.5000 0.0000 0.7847

The 6 most intense peaks (2θ = 10–80°), sorted by position:
hkl	d/Å	I (rel.)
0 2 4	2.820	67
1 2 2	2.802	68
0 4 2	2.788	62
1 1 3	2.681	89
1 3 1	2.662	100
2 0 0	1.808	24

=====

Structure and calculated powder diffraction line list of In5Hg2Pb2 (a PBE-relaxed structure; Cu Kα (weighted mean of Kα1 and Kα2)).

Cell and atoms:
Lattice parameters (Å, degrees): 19.5737 3.2367 8.2414 90.00 102.03 90.00
Space group C2/m (No. 12)
One atom of each set of equivalent atoms:
In 0.0000 0.0000 0.0000
In 0.0593 0.0000 0.6726
In 0.2258 0.0000 0.6734
Hg 0.1698 0.0000 0.0125
Pb 0.1062 0.5000 0.3422

The 6 most intense peaks (2θ = 10–80°), sorted by position:
hkl	d/Å	I (rel.)
1 1 1	2.933	55
6 0 -2	2.802	100
6 0 1	2.775	65
0 0 3	2.687	59
1 1 -2	2.545	38
5 1 0	2.472	36

=====

Structure and calculated powder diffraction line list of In6HgPb3 (a PBE-relaxed structure; Cu Kα (weighted mean of Kα1 and Kα2)).

Cell and atoms:
Lattice parameters (Å, degrees): 10.6694 4.4130 12.9989 90.00 105.33 90.00
Space group P2_1/m (No. 11)
One atom of each set of equivalent atoms:
In 0.0138 0.2500 0.4014
In 0.1170 0.2500 0.0331
In 0.2379 0.7500 0.5038
In 0.3704 0.2500 0.9425
In 0.4038 0.7500 0.7672
In 0.4605 0.2500 0.5900
Hg 0.1925 0.2500 0.6969
Pb 0.0581 0.7500 0.2108
Pb 0.3014 0.2500 0.3210
Pb 0.3510 0.7500 0.1324

The 6 most intense peaks (2θ = 10–80°), sorted by position:
hkl	d/Å	I (rel.)
1 1 3	2.770	100
3 1 -2	2.700	92
2 0 -5	2.533	36
4 0 1	2.398	30
0 2 0	2.207	27
2 2 -5	1.664	20

=====

Structure and calculated powder diffraction line list of In6Hg5Pb2 (a PBE-relaxed structure; Cu Kα (weighted mean of Kα1 and Kα2)).

Cell and atoms:
Lattice parameters (Å, degrees): 3.4163 17.0925 12.5137 90.00 98.93 90.00
Space group P2_1/c (No. 14)
One atom of each set of equivalent atoms:
In 0.0012 0.0942 0.3005
In 0.4361 0.0810 0.0649
In 0.4732 0.6194 0.8746
Hg 0.0000 0.0000 0.5000
Hg 0.0011 0.7317 0.3933
Hg 0.0170 0.5650 0.6652
Pb 0.4858 0.2394 0.8606

The 6 most intense peaks (2θ = 10–80°), sorted by position:
hkl	d/Å	I (rel.)
0 0 4	3.090	23
0 2 4	2.907	29
0 6 0	2.849	33
1 3 -2	2.775	100
1 3 2	2.503	62
0 7 1	2.396	24